The following is a theoretical X-ray powder pattern of Li6AlIn2. It was derived from a DFT-relaxed cell (PBE, Alexandria), using a wavelength of 1.5418 Å.
Intensities are scaled so that the largest is 1000.

Largest 10 diffraction maxima, by intensity, 2θ = 5–70°:
3.778 Å, 2θ 23.5, I = 1000, hkl 1 2 0
3.594 Å, 2θ 24.8, I = 848, hkl 1 1 1
2.387 Å, 2θ 37.7, I = 677, hkl 0 3 1
2.893 Å, 2θ 30.9, I = 379, hkl 2 1 1
3.971 Å, 2θ 22.4, I = 358, hkl 0 1 1
1.933 Å, 2θ 47.0, I = 307, hkl 1 2 2
4.222 Å, 2θ 21.0, I = 299, hkl 2 0 0
2.297 Å, 2θ 39.2, I = 271, hkl 1 3 1
5.973 Å, 2θ 14.8, I = 259, hkl 1 1 0
2.488 Å, 2θ 36.1, I = 217, hkl 2 2 1

Structure:
a b c (Å): 8.444 8.451 4.499
angles (deg): 90.00 90.00 90.00
Space group Pnnm (No. 58)
Inequivalent atoms, fractional coordinates:
Li (0.040, 0.170, 0.000) x4
Li (0.132, 0.693, 0.500) x4
Li (0.174, 0.028, 0.500) x4
Al (0.000, 0.500, 0.000) x2
In (0.199, 0.362, 0.500) x4

The following is a theoretical X-ray powder pattern of AcLaTlO2. It was derived from a DFT-relaxed cell (PBE, Alexandria), using a wavelength of 1.5418 Å.
Intensities are scaled so that the largest is 1000.

Largest 10 diffraction maxima, by intensity, 2θ = 5–70°:
3.160 Å, 2θ 28.2, I = 1000, hkl 1 0 3
2.964 Å, 2θ 30.2, I = 372, hkl 1 1 0
1.747 Å, 2θ 52.4, I = 370, hkl 2 1 3
1.868 Å, 2θ 48.8, I = 251, hkl 1 1 6
2.096 Å, 2θ 43.2, I = 180, hkl 2 0 0
1.580 Å, 2θ 58.4, I = 122, hkl 2 0 6
1.498 Å, 2θ 62.0, I = 112, hkl 1 0 9
2.405 Å, 2θ 37.4, I = 106, hkl 0 0 6
1.482 Å, 2θ 62.7, I = 59, hkl 2 2 0
4.025 Å, 2θ 22.1, I = 32, hkl 1 0 1

Structure:
a b c (Å): 4.191 4.191 14.433
angles (deg): 90.00 90.00 90.00
Space group I4mm (No. 107)
Inequivalent atoms, fractional coordinates:
Ac (0.000, 0.000, 0.000) x2
La (0.000, 0.000, 0.670) x2
Tl (0.000, 0.000, 0.334) x2
O (0.000, 0.500, 0.091) x4

The following is a theoretical X-ray powder pattern of Zr6Au3O2. It was derived from a DFT-relaxed cell (PBE, Alexandria), using a wavelength of 1.5418 Å.
Intensities are scaled so that the largest is 1000.

Largest 10 diffraction maxima, by intensity, 2θ = 5–70°:
2.596 Å, 2θ 34.6, I = 1000, hkl 0 1 11
2.737 Å, 2θ 32.7, I = 389, hkl 0 1 8
1.690 Å, 2θ 54.3, I = 380, hkl 1 1 0
2.176 Å, 2θ 41.5, I = 374, hkl 1 0 19
1.359 Å, 2θ 69.1, I = 223, hkl 1 1 27
2.333 Å, 2θ 38.6, I = 198, hkl 1 0 16
2.288 Å, 2θ 39.4, I = 195, hkl 0 0 27
1.421 Å, 2θ 65.7, I = 176, hkl 0 1 38
1.416 Å, 2θ 66.0, I = 149, hkl 2 0 11
2.027 Å, 2θ 44.7, I = 147, hkl 1 0 22

Structure:
a b c (Å): 3.3800 3.3800 61.7844
angles (deg): 90.00 90.00 120.00
Space group R-3m (No. 166, hexagonal axes)
Inequivalent atoms, fractional coordinates:
Zr (0.0000, 0.0000, 0.1054) x6
Zr (0.0000, 0.0000, 0.1875) x6
Zr (0.0000, 0.0000, 0.3686) x6
Au (0.0000, 0.0000, 0.0000) x3
Au (0.0000, 0.0000, 0.2638) x6
O (0.0000, 0.0000, 0.4587) x6

The following is a theoretical X-ray powder pattern of Al2P2Ir. It was derived from a DFT-relaxed cell (PBE, Alexandria), using a wavelength of 1.5418 Å.
Intensities are scaled so that the largest is 1000.

Largest 10 diffraction maxima, by intensity, 2θ = 5–70°:
4.653 Å, 2θ 19.1, I = 1000, hkl 1 1 0
2.809 Å, 2θ 31.9, I = 964, hkl 1 1 1
2.081 Å, 2θ 43.5, I = 654, hkl 3 1 0
1.792 Å, 2θ 51.0, I = 475, hkl 3 1 1
2.404 Å, 2θ 37.4, I = 456, hkl 2 0 1
3.523 Å, 2θ 25.3, I = 439, hkl 0 0 1
3.290 Å, 2θ 27.1, I = 376, hkl 2 0 0
1.941 Å, 2θ 46.8, I = 365, hkl 2 2 1
2.326 Å, 2θ 38.7, I = 328, hkl 2 2 0
1.344 Å, 2θ 70.0, I = 321, hkl 3 1 2

Structure:
a b c (Å): 6.580 6.580 3.523
angles (deg): 90.00 90.00 90.00
Space group P4/mbm (No. 127)
Inequivalent atoms, fractional coordinates:
Al (0.143, 0.357, 0.000) x4
P (0.172, 0.672, 0.500) x4
Ir (0.000, 0.000, 0.500) x2

The following is a theoretical X-ray powder pattern of LiTlBiCl6. It was derived from a DFT-relaxed cell (PBE, Alexandria), using a wavelength of 1.5418 Å.
Intensities are scaled so that the largest is 1000.

Largest 10 diffraction maxima, by intensity, 2θ = 5–70°:
4.316 Å, 2θ 20.6, I = 1000, hkl 1 0 1
2.318 Å, 2θ 38.8, I = 432, hkl 2 -1 2
2.104 Å, 2θ 43.0, I = 310, hkl 3 -1 1
2.675 Å, 2θ 33.5, I = 298, hkl 2 0 1
5.903 Å, 2θ 15.0, I = 273, hkl 1 0 0
3.408 Å, 2θ 26.1, I = 204, hkl 1 1 0
1.968 Å, 2θ 46.1, I = 183, hkl 3 0 0
1.585 Å, 2θ 58.2, I = 130, hkl 3 1 1
1.986 Å, 2θ 45.7, I = 128, hkl 1 0 3
2.788 Å, 2θ 32.1, I = 121, hkl 1 0 2

Structure:
a b c (Å): 6.8159 6.8159 6.3266
angles (deg): 90.00 90.00 120.00
Space group P312 (No. 149)
Inequivalent atoms, fractional coordinates:
Li (0.0000, 0.0000, 0.0000) x1
Tl (0.3333, 0.6667, 0.5000) x1
Bi (0.6667, 0.3333, 0.0000) x1
Cl (0.3226, 0.0124, 0.2371) x6

The following is a theoretical X-ray powder pattern of YGePd4. It was derived from a DFT-relaxed cell (PBE, Alexandria), using a wavelength of 1.5418 Å.
Intensities are scaled so that the largest is 1000.

Largest 10 diffraction maxima, by intensity, 2θ = 5–70°:
2.162 Å, 2θ 41.8, I = 1000, hkl 2 1 2
2.563 Å, 2θ 35.0, I = 972, hkl 2 1 1
2.473 Å, 2θ 36.3, I = 493, hkl 1 1 2
1.968 Å, 2θ 46.1, I = 408, hkl 0 2 0
2.325 Å, 2θ 38.7, I = 291, hkl 0 0 3
6.975 Å, 2θ 12.7, I = 244, hkl 0 0 1
2.058 Å, 2θ 44.0, I = 241, hkl 3 1 1
1.930 Å, 2θ 47.1, I = 192, hkl 4 0 0
2.226 Å, 2θ 40.5, I = 179, hkl 1 0 3
2.414 Å, 2θ 37.2, I = 179, hkl 3 0 1

Structure:
a b c (Å): 7.720 3.936 6.975
angles (deg): 90.00 90.00 90.00
Space group Pmma (No. 51)
Inequivalent atoms, fractional coordinates:
Y (0.250, 0.000, 0.141) x2
Ge (0.250, 0.000, 0.719) x2
Pd (0.000, 0.000, 0.500) x2
Pd (0.055, 0.500, 0.807) x4
Pd (0.250, 0.500, 0.446) x2

The following is a theoretical X-ray powder pattern of Pm15Tm4Al. It was derived from a DFT-relaxed cell (PBE, Alexandria), using a wavelength of 1.5418 Å.
Intensities are scaled so that the largest is 1000.

Largest 10 diffraction maxima, by intensity, 2θ = 5–70°:
2.921 Å, 2θ 30.6, I = 1000, hkl 1 1 5
2.524 Å, 2θ 35.6, I = 339, hkl 2 0 0
1.523 Å, 2θ 60.8, I = 284, hkl 3 1 5
1.791 Å, 2θ 51.0, I = 232, hkl 2 0 10
2.541 Å, 2θ 35.3, I = 165, hkl 0 0 10
1.530 Å, 2θ 60.5, I = 131, hkl 1 1 15
1.785 Å, 2θ 51.2, I = 121, hkl 2 2 0
1.460 Å, 2θ 63.7, I = 119, hkl 2 2 10
3.112 Å, 2θ 28.7, I = 13, hkl 1 1 4
1.618 Å, 2θ 56.9, I = 12, hkl 1 1 14

Structure:
a b c (Å): 5.048 5.048 25.408
angles (deg): 90.00 90.00 90.00
Space group P4/mmm (No. 123)
Inequivalent atoms, fractional coordinates:
Pm (0.000, 0.000, 0.000) x1
Pm (0.000, 0.000, 0.196) x2
Pm (0.000, 0.000, 0.398) x2
Pm (0.000, 0.500, 0.094) x4
Pm (0.000, 0.500, 0.297) x4
Pm (0.000, 0.500, 0.500) x2
Tm (0.500, 0.500, 0.196) x2
Tm (0.500, 0.500, 0.399) x2
Al (0.500, 0.500, 0.000) x1

The following is a theoretical X-ray powder pattern of Tb2HfAl9. It was derived from a DFT-relaxed cell (PBE, Alexandria), using a wavelength of 1.5418 Å.
Intensities are scaled so that the largest is 1000.

Largest 10 diffraction maxima, by intensity, 2θ = 5–70°:
2.431 Å, 2θ 37.0, I = 1000, hkl 1 1 3
4.210 Å, 2θ 21.1, I = 959, hkl 1 0 0
2.977 Å, 2θ 30.0, I = 811, hkl 1 1 0
2.108 Å, 2θ 42.9, I = 331, hkl 2 0 0
1.885 Å, 2θ 48.3, I = 299, hkl 2 1 0
1.720 Å, 2θ 53.3, I = 223, hkl 2 1 3
1.487 Å, 2θ 62.4, I = 211, hkl 2 0 6
2.099 Å, 2θ 43.1, I = 159, hkl 0 0 6
1.879 Å, 2θ 48.4, I = 144, hkl 1 0 6
1.716 Å, 2θ 53.4, I = 111, hkl 1 1 6

Structure:
a b c (Å): 4.216 4.216 12.594
angles (deg): 90.00 90.00 90.00
Space group P4/mmm (No. 123)
Inequivalent atoms, fractional coordinates:
Tb (0.000, 0.000, 0.172) x2
Hf (0.000, 0.000, 0.500) x1
Al (0.000, 0.500, 0.000) x2
Al (0.000, 0.500, 0.342) x4
Al (0.500, 0.500, 0.169) x2
Al (0.500, 0.500, 0.500) x1